Simulated powder X-ray diffraction pattern
Compound: Te2MoWSeS
Radiation: λ = 1.5418 Å (Cu Kα)
Structure: a GGA-PBE-relaxed structure
Kinematic intensities with the Lorentz-polarization factor, no thermal factor.

Most intense lines, 2θ = 10–80°, low angle first:
Position (°2θ)	d/Å	I/Imax	index
10.89	8.121	100.0	0 0 5
30.40	2.940	41.4	1 0 0
35.26	2.546	67.4	1 0 8
42.20	2.142	51.9	0 1 13
43.83	2.066	16.0	1 0 14
53.99	1.698	29.5	1 1 0

Structure:
```
data_Te2MoWSeS
_space_group_name_H-M_alt 'P 3 m 1'
_space_group_IT_number 156
_cell_length_a 3.3975
_cell_length_b 3.3975
_cell_length_c 40.6040
_cell_angle_alpha 90.00
_cell_angle_beta 90.00
_cell_angle_gamma 120.00
loop_
_space_group_symop_operation_xyz
'x,y,z'
'-y,x-y,z'
'-x+y,-x,z'
'-y,-x,z'
'-x+y,y,z'
'x,x-y,z'
loop_
_atom_site_label
_atom_site_type_symbol
_atom_site_fract_x
_atom_site_fract_y
_atom_site_fract_z
Te1 Te 0.0000 0.0000 0.0000
Te2 Te 0.0000 0.0000 0.0923
Te3 Te 0.6667 0.3333 0.8091
Te4 Te 0.6667 0.3333 0.9020
Mo1 Mo 0.6667 0.3333 0.0462
Mo2 Mo 0.6667 0.3333 0.6693
W1 W 0.0000 0.0000 0.2335
W2 W 0.0000 0.0000 0.8555
Se1 Se 0.6667 0.3333 0.1927
Se2 Se 0.6667 0.3333 0.2742
S1 S 0.0000 0.0000 0.6323
S2 S 0.0000 0.0000 0.7063
```